Structure and theoretical powder X-ray diffraction pattern of Na3NpCo2S6 (a crystal structure in Alexandria, relaxed with PBE; CuKα).

Atomic structure:
Cell lengths 6.1342, 10.6220, 7.0461 Å; angles 90.00, 107.14, 90.00 degrees
Space group C2/m (No. 12)
Symmetry-distinct sites (fractional):
Na1 0.0000 0.0000 0.0000 x2
Na2 0.0000 0.3410 0.0000 x4
Np1 0.0000 0.5000 0.5000 x2
Co1 0.0000 0.1670 0.5000 x4
S1 0.1977 0.0000 0.7001 x4
S2 0.2475 0.1850 0.2994 x8

The 12 most intense peaks (10° ≤ 2θ ≤ 90°), in order of falling intensity:
| 2θ/deg | I (rel.) |
| --- | --- |
| 13.1 | 100 |
| 34.2 | 61 |
| 34.1 | 31 |
| 51.6 | 26 |
| 29.5 | 25 |
| 46.5 | 21 |
| 30.5 | 20 |
| 17.3 | 18 |
| 18.8 | 15 |
| 43.1 | 14 |
| 21.3 | 13 |
| 53.5 | 11 |



Structure and theoretical powder X-ray diffraction pattern of Cs5ZnBi2 (a crystal structure in Alexandria, relaxed with PBE; CuKα).

Atomic structure:
Cell lengths 6.8518, 6.8518, 22.7036 Å; angles 90.00, 90.00, 120.00 degrees
Space group P6_3/mmc (No. 194)
Symmetry-distinct sites (fractional):
Cs1 0.0000 0.0000 0.1409 x4
Cs2 0.3333 0.6667 0.0460 x4
Cs3 0.3333 0.6667 0.2500 x2
Zn1 0.3333 0.6667 0.7500 x2
Bi1 0.3333 0.6667 0.6338 x4

The 12 most intense peaks (10° ≤ 2θ ≤ 90°), in order of falling intensity:
| 2θ/deg | I (rel.) |
| --- | --- |
| 26.0 | 100 |
| 24.7 | 60 |
| 45.1 | 24 |
| 48.1 | 24 |
| 36.2 | 23 |
| 45.9 | 22 |
| 41.3 | 19 |
| 30.5 | 14 |
| 53.5 | 14 |
| 31.5 | 13 |
| 15.4 | 11 |
| 73.1 | 11 |



Please write out number 1 again, unchanged.
Structure and theoretical powder X-ray diffraction pattern of Na3NpCo2S6 (a crystal structure in Alexandria, relaxed with PBE; CuKα).

Atomic structure:
Cell lengths 6.1342, 10.6220, 7.0461 Å; angles 90.00, 107.14, 90.00 degrees
Space group C2/m (No. 12)
Symmetry-distinct sites (fractional):
Na1 0.0000 0.0000 0.0000 x2
Na2 0.0000 0.3410 0.0000 x4
Np1 0.0000 0.5000 0.5000 x2
Co1 0.0000 0.1670 0.5000 x4
S1 0.1977 0.0000 0.7001 x4
S2 0.2475 0.1850 0.2994 x8

The 12 most intense peaks (10° ≤ 2θ ≤ 90°), in order of falling intensity:
| 2θ/deg | I (rel.) |
| --- | --- |
| 13.1 | 100 |
| 34.2 | 61 |
| 34.1 | 31 |
| 51.6 | 26 |
| 29.5 | 25 |
| 46.5 | 21 |
| 30.5 | 20 |
| 17.3 | 18 |
| 18.8 | 15 |
| 43.1 | 14 |
| 21.3 | 13 |
| 53.5 | 11 |